Structure and theoretical powder diffractogram of PmPd6Au12 (a crystal structure in Alexandria, relaxed with PBE; copper Kα).
Intensities are scaled so that the largest is 100.

Unit cell a=7.585 b=7.585 c=7.585 alpha=105.98 beta=105.98 gamma=105.98
Sites, in units of the cell vectors:
1 Pm 0.000 0.000 0.000
2 Pd 0.301 0.301 0.685
3 Pd 0.301 0.685 0.301
4 Pd 0.315 0.699 0.699
5 Pd 0.685 0.301 0.301
6 Pd 0.699 0.315 0.699
7 Pd 0.699 0.699 0.315
8 Au 0.101 0.356 0.356
9 Au 0.114 0.500 0.886
10 Au 0.114 0.886 0.500
11 Au 0.356 0.101 0.356
12 Au 0.356 0.356 0.101
13 Au 0.500 0.114 0.886
14 Au 0.500 0.886 0.114
15 Au 0.644 0.644 0.899
16 Au 0.644 0.899 0.644
17 Au 0.886 0.114 0.500
18 Au 0.886 0.500 0.114
19 Au 0.899 0.644 0.644

Peak list (12 most intense, 2θ = 10–90°, in order of rising 2θ)
Position (°2θ)	intensity
21.89	31
32.41	100
33.94	38
38.79	59
40.11	71
42.82	38
44.64	26
44.90	22
48.04	44
69.45	16
72.94	17
76.97	27